Record 1
Na2Si2Se5: theoretical X-ray diffraction stick pattern (CuKα), based on a crystal structure in the Materials Project, relaxed with GGA-PBE.
Kinematic intensities with the Lorentz-polarization factor, no thermal factor.

Structural model:
Cell: 13.438 13.587 11.113 Å, 90.00 90.00 90.00°
Space group Cmcm (No. 63)
Asymmetric unit:
Na1 0.148 0.000 0.000 [8 per cell]
Na2 0.171 0.253 0.250 [8 per cell]
Si1 0.000 0.254 0.584 [8 per cell]
Si2 0.136 0.448 0.750 [8 per cell]
Se1 0.000 0.152 0.750 [4 per cell]
Se2 0.000 0.159 0.080 [8 per cell]
Se3 0.000 0.450 0.250 [4 per cell]
Se4 0.143 0.349 0.579 [16 per cell]
Se5 0.228 0.041 0.750 [8 per cell]

Main lines, by angle (2θ = 5–70°):
2θ = 18.57°, I 22, (2 2 0)
2θ = 20.66°, I 33, (0 2 2)
2θ = 27.43°, I 100, (0 2 3)
2θ = 28.02°, I 82, (3 3 0)
2θ = 29.17°, I 25, (3 3 1)
2θ = 30.78°, I 34, (4 2 1)
2θ = 32.04°, I 40, (3 1 3)
2θ = 46.12°, I 54, (3 5 3)

***

Record 2
Na9SmSi4Se12: theoretical X-ray diffraction stick pattern (CuKα), based on a crystal structure in the Materials Project, relaxed with GGA-PBE.
Kinematic intensities with the Lorentz-polarization factor, no thermal factor.

Structural model:
Cell: 15.470 12.222 7.071 Å, 90.00 98.64 90.00°
Space group C2 (No. 5)
Asymmetric unit:
Na1 0.000 0.000 0.000 [2 per cell]
Na2 0.000 0.163 0.500 [2 per cell]
Na3 0.000 0.487 0.500 [2 per cell]
Na4 0.247 0.154 0.248 [4 per cell]
Na5 0.248 0.328 0.747 [4 per cell]
Na6 0.250 0.001 0.749 [4 per cell]
Sm1 0.000 0.660 0.000 [2 per cell]
Si1 0.076 0.830 0.522 [4 per cell]
Si2 0.077 0.325 0.032 [4 per cell]
Se1 0.117 0.672 0.374 [4 per cell]
Se2 0.118 0.488 0.893 [4 per cell]
Se3 0.118 0.819 0.850 [4 per cell]
Se4 0.125 0.175 0.884 [4 per cell]
Se5 0.125 0.329 0.353 [4 per cell]
Se6 0.125 0.983 0.389 [4 per cell]

Main lines, by angle (2θ = 5–70°):
2θ = 9.26°, I 10, (1 1 0)
2θ = 23.26°, I 13, (4 0 0)
2θ = 26.40°, I 17, (1 3 1)
2θ = 29.71°, I 100, (3 3 -1)
2θ = 40.52°, I 34, (6 0 -2)
2θ = 44.43°, I 34, (1 3 -3)
2θ = 54.36°, I 16, (4 0 -4)
2θ = 67.16°, I 9, (8 6 0)

***

Record 3
NaSm8Se12: theoretical X-ray diffraction stick pattern (CuKα), based on a crystal structure in the Materials Project, relaxed with GGA-PBE.
Kinematic intensities with the Lorentz-polarization factor, no thermal factor.

Structural model:
Cell: 8.855 8.855 26.649 Å, 90.00 90.00 90.00°
Space group I-42d (No. 122)
Asymmetric unit:
Na1 0.000 0.000 0.000 [4 per cell]
Sm1 0.000 0.000 0.332 [8 per cell]
Sm2 0.120 0.750 0.125 [8 per cell]
Sm3 0.128 0.746 0.459 [16 per cell]
Se1 0.072 0.676 0.684 [16 per cell]
Se2 0.072 0.681 0.353 [16 per cell]
Se3 0.077 0.675 0.017 [16 per cell]

Main lines, by angle (2θ = 5–70°):
2θ = 24.60°, I 24, (1 1 6)
2θ = 31.93°, I 100, (3 1 0)
2θ = 37.98°, I 65, (2 1 9)
2θ = 45.76°, I 16, (4 0 6)
2θ = 48.15°, I 15, (3 2 9)
2θ = 50.44°, I 11, (4 2 6)
2θ = 52.68°, I 12, (4 1 9)
2θ = 64.89°, I 20, (6 1 3)

***

Record 4
NaSmSe2: theoretical X-ray diffraction stick pattern (CuKα), based on a crystal structure in the Materials Project, relaxed with GGA-PBE.
Kinematic intensities with the Lorentz-polarization factor, no thermal factor.

Structural model:
Cell: 4.2336 4.2336 20.9350 Å, 90.00 90.00 120.00°
Space group R-3m (No. 166, hexagonal axes)
Asymmetric unit:
Na1 0.0000 0.0000 0.0000 [3 per cell]
Sm1 0.0000 0.0000 0.5000 [3 per cell]
Se1 0.0000 0.0000 0.2449 [6 per cell]

Main lines, by angle (2θ = 5–70°):
2θ = 12.69°, I 43, (0 0 3)
2θ = 24.65°, I 21, (1 0 1)
2θ = 29.75°, I 100, (1 0 4)
2θ = 42.44°, I 37, (0 1 8)
2θ = 42.72°, I 37, (1 1 0)
2θ = 52.92°, I 20, (0 2 4)
2θ = 61.79°, I 12, (2 0 8)
2θ = 69.87°, I 16, (1 1 12)

***

Record 5
Na6Sn2Se7: theoretical X-ray diffraction stick pattern (CuKα), based on a crystal structure in the Materials Project, relaxed with GGA-PBE.
Kinematic intensities with the Lorentz-polarization factor, no thermal factor.

Structural model:
Cell: 9.829 11.344 16.231 Å, 90.00 104.50 90.00°
Space group C2/c (No. 15)
Asymmetric unit:
Na1 0.000 0.000 0.000 [4 per cell]
Na2 0.000 0.073 0.250 [4 per cell]
Na3 0.103 0.355 0.571 [8 per cell]
Na4 0.229 0.229 0.861 [8 per cell]
Sn1 0.160 0.413 0.363 [8 per cell]
Se1 0.000 0.451 0.750 [4 per cell]
Se2 0.042 0.228 0.397 [8 per cell]
Se3 0.116 0.136 0.681 [8 per cell]
Se4 0.203 0.433 0.982 [8 per cell]

Main lines, by angle (2θ = 5–70°):
2θ = 14.91°, I 88, (1 1 -2)
2θ = 16.62°, I 49, (0 2 1)
2θ = 18.12°, I 63, (1 1 2)
2θ = 19.24°, I 49, (2 0 -2)
2θ = 22.72°, I 100, (1 1 3)
2θ = 29.26°, I 85, (1 3 -3)
2θ = 32.55°, I 88, (0 2 5)
2θ = 42.92°, I 49, (2 4 3)

***

Record 6
Na2Ta3Se6: theoretical X-ray diffraction stick pattern (CuKα), based on a crystal structure in the Materials Project, relaxed with GGA-PBE.
Kinematic intensities with the Lorentz-polarization factor, no thermal factor.

Structural model:
Cell: 6.0811 6.0811 46.0295 Å, 90.00 90.00 120.00°
Space group R32 (No. 155, hexagonal axes)
Asymmetric unit:
Na1 0.0000 0.0000 0.0833 [6 per cell]
Na2 0.0000 0.0000 0.4166 [6 per cell]
Ta1 0.0000 0.0000 0.0000 [3 per cell]
Ta2 0.0000 0.0000 0.3332 [6 per cell]
Ta3 0.9996 0.3329 0.1667 [9 per cell]
Se1 0.0000 0.6677 0.2028 [18 per cell]
Se2 0.0000 0.6684 0.2972 [18 per cell]

Main lines, by angle (2θ = 5–70°):
2θ = 11.53°, I 100, (0 0 6)
2θ = 29.96°, I 41, (1 1 3)
2θ = 34.31°, I 29, (1 1 9)
2θ = 37.75°, I 55, (1 1 12)
2θ = 41.82°, I 17, (1 1 15)
2θ = 46.40°, I 16, (1 1 18)
2θ = 52.10°, I 23, (3 0 0)
2θ = 53.55°, I 13, (3 0 6)

***

Record 7
NaTi5Se8: theoretical X-ray diffraction stick pattern (CuKα), based on a crystal structure in the Materials Project, relaxed with GGA-PBE.
Kinematic intensities with the Lorentz-polarization factor, no thermal factor.

Structural model:
Cell: 18.782 3.587 9.150 Å, 90.00 105.21 90.00°
Space group C2/m (No. 12)
Asymmetric unit:
Na1 0.000 0.000 0.000 [2 per cell]
Ti1 0.000 0.500 0.500 [2 per cell]
Ti2 0.150 0.000 0.492 [4 per cell]
Ti3 0.210 0.000 0.850 [4 per cell]
Se1 0.074 0.000 0.677 [4 per cell]
Se2 0.083 0.500 0.309 [4 per cell]
Se3 0.159 0.500 0.998 [4 per cell]
Se4 0.242 0.500 0.660 [4 per cell]

Main lines, by angle (2θ = 5–70°):
2θ = 10.02°, I 30, (0 0 1)
2θ = 31.18°, I 47, (6 0 -2)
2θ = 31.99°, I 100, (3 1 1)
2θ = 33.13°, I 53, (3 1 -2)
2θ = 37.75°, I 26, (3 1 2)
2θ = 39.38°, I 43, (3 1 -3)
2θ = 50.63°, I 47, (9 1 -1)
2θ = 50.91°, I 27, (0 2 0)

***

Record 8
NaTi6Se8: theoretical X-ray diffraction stick pattern (CuKα), based on a crystal structure in the Materials Project, relaxed with GGA-PBE.
Kinematic intensities with the Lorentz-polarization factor, no thermal factor.

Structural model:
Cell: 9.8466 9.8466 3.5955 Å, 90.00 90.00 120.00°
Space group P-3 (No. 147)
Asymmetric unit:
Na1 0.0000 0.0000 0.0000 [1 per cell]
Ti1 0.1283 0.4920 0.2498 [6 per cell]
Se1 0.0505 0.7044 0.2507 [6 per cell]
Se2 0.3333 0.6667 0.7500 [2 per cell]

Main lines, by angle (2θ = 5–70°):
2θ = 10.37°, I 100, (1 0 0)
2θ = 30.79°, I 64, (1 1 1)
2θ = 31.47°, I 86, (3 0 0)
2θ = 32.58°, I 68, (0 2 1)
2θ = 37.47°, I 95, (2 1 1)
2θ = 38.05°, I 56, (3 1 0)
2θ = 44.61°, I 74, (4 -2 1)
2θ = 53.31°, I 54, (3 2 1)